(1)
Starting from a DFT-relaxed cell (GGA-PBE, Alexandria), the X-ray diffraction stick pattern of Tb5Al2 was computed for copper Kα.

```
14
Lattice="-3.997 7.287 3.312 3.997 -7.287 3.312 3.997 7.287 -3.312" Properties=species:S:1:pos:R:3 pbc="T T T"
Tb 3.997 3.862 -1.656
Tb 5.301 1.231 0.000
Tb 0.000 0.000 1.656
Tb 1.304 6.055 0.000
Tb 0.000 3.425 1.656
Tb 3.997 3.862 1.656
Tb 2.693 1.231 3.312
Tb 0.000 0.000 4.969
Tb -1.304 6.055 3.312
Tb 0.000 3.425 4.969
Al 2.167 1.843 0.000
Al 2.167 -1.843 3.312
Al 1.830 9.129 0.000
Al 1.830 5.444 3.312
```

Top 10 peaks for 2θ = 5–70°, sorted by position:
d 4.179, 2θ 21.3, I = 50.9
d 2.995, 2θ 29.8, I = 76.6
d 2.965, 2θ 30.1, I = 35.8
d 2.798, 2θ 32.0, I = 41.8
d 2.738, 2θ 32.7, I = 54.8
d 2.693, 2θ 33.3, I = 86.8
d 2.621, 2θ 34.2, I = 53.8
d 2.550, 2θ 35.2, I = 100.0
d 2.451, 2θ 36.7, I = 89.4
d 1.691, 2θ 54.2, I = 45.5



(2)
Starting from a DFT-relaxed cell (GGA-PBE, Alexandria), the X-ray diffraction stick pattern of TbAl6 was computed for copper Kα.

```
14
Lattice="5.902 0.000 0.000 0.000 5.902 0.000 0.000 0.000 7.881" Properties=species:S:1:pos:R:3 pbc="T T T"
Tb 1.476 4.427 0.000
Tb 4.427 1.476 0.000
Al 0.440 3.391 2.798
Al 0.440 5.463 5.084
Al 1.476 1.476 1.259
Al 1.476 1.476 6.622
Al 2.511 3.391 5.084
Al 2.511 5.463 2.798
Al 3.391 0.440 5.084
Al 3.391 2.511 2.798
Al 4.427 4.427 1.259
Al 4.427 4.427 6.622
Al 5.463 0.440 2.798
Al 5.463 2.511 5.084
```

Top 10 peaks for 2θ = 5–70°, sorted by position:
d 7.881, 2θ 11.2, I = 78.4
d 4.174, 2θ 21.3, I = 42.8
d 3.688, 2θ 24.1, I = 53.0
d 2.865, 2θ 31.2, I = 65.9
d 2.764, 2θ 32.4, I = 100.0
d 2.362, 2θ 38.1, I = 28.6
d 2.223, 2θ 40.6, I = 56.3
d 2.087, 2θ 43.4, I = 27.0
d 1.816, 2θ 50.2, I = 28.6
d 1.687, 2θ 54.4, I = 33.2



(3)
Starting from a DFT-relaxed cell (GGA-PBE, Alexandria), the X-ray diffraction stick pattern of Tb5Al3 was computed for copper Kα.

```
16
Lattice="-6.036 6.036 2.902 6.036 -6.036 2.902 6.036 6.036 -2.902" Properties=species:S:1:pos:R:3 pbc="T T T"
Tb 9.438 1.013 0.000
Tb 1.013 2.634 0.000
Tb 6.036 0.000 1.451
Tb 7.050 3.402 0.000
Tb 3.402 5.023 0.000
Tb 2.634 1.013 2.902
Tb -1.013 2.634 2.902
Tb 0.000 6.036 1.451
Tb 5.023 3.402 2.902
Tb -3.402 5.023 2.902
Al 4.093 1.943 0.000
Al 0.000 0.000 1.451
Al 4.093 -1.943 2.902
Al 1.943 7.979 0.000
Al 0.000 0.000 4.353
Al 1.943 4.093 2.902
```

Top 10 peaks for 2θ = 5–70°, sorted by position:
d 3.953, 2θ 22.5, I = 33.9
d 3.818, 2θ 23.3, I = 37.4
d 2.901, 2θ 30.8, I = 89.9
d 2.699, 2θ 33.2, I = 49.3
d 2.614, 2θ 34.3, I = 100.0
d 2.400, 2θ 37.5, I = 36.1
d 1.719, 2θ 53.3, I = 19.6
d 1.707, 2θ 53.7, I = 24.5
d 1.614, 2θ 57.1, I = 17.3
d 1.450, 2θ 64.2, I = 19.7



(4)
Starting from a DFT-relaxed cell (GGA-PBE, Alexandria), the X-ray diffraction stick pattern of Tb13Al2 was computed for copper Kα.

```
15
Lattice="6.673 0.000 0.000 1.434 8.335 0.000 0.131 4.080 8.148" Properties=species:S:1:pos:R:3 pbc="T T T"
Tb 0.000 0.000 0.000
Tb 1.044 7.028 5.735
Tb 1.623 2.422 4.637
Tb 1.978 2.347 1.243
Tb 2.940 9.334 7.793
Tb 3.324 4.733 6.639
Tb 3.764 4.879 3.086
Tb 4.475 7.536 5.062
Tb 4.914 7.681 1.509
Tb 5.298 3.080 0.355
Tb 6.260 10.068 6.905
Tb 6.615 9.993 3.511
Tb 7.194 5.386 2.413
Al 2.250 7.968 2.957
Al 5.988 4.446 5.191
```

Top 10 peaks for 2θ = 5–70°, sorted by position:
d 3.024, 2θ 29.5, I = 35.7
d 3.013, 2θ 29.7, I = 32.2
d 2.904, 2θ 30.8, I = 100.0
d 2.875, 2θ 31.1, I = 68.9
d 2.819, 2θ 31.7, I = 59.7
d 2.744, 2θ 32.6, I = 38.3
d 2.734, 2θ 32.8, I = 56.1
d 2.705, 2θ 33.1, I = 44.9
d 2.614, 2θ 34.3, I = 30.0
d 2.521, 2θ 35.6, I = 34.9



(5)
Starting from a DFT-relaxed cell (GGA-PBE, Alexandria), the X-ray diffraction stick pattern of TbAl3 was computed for copper Kα.

```
4
Lattice="4.271 0.000 0.000 0.000 4.271 0.000 0.000 0.000 4.271" Properties=species:S:1:pos:R:3 pbc="T T T"
Tb 0.000 0.000 0.000
Al 0.000 2.135 2.135
Al 2.135 0.000 2.135
Al 2.135 2.135 0.000
```

Top 9 peaks for 2θ = 5–70°, sorted by position:
d 4.271, 2θ 20.8, I = 90.9
d 3.020, 2θ 29.6, I = 77.4
d 2.466, 2θ 36.4, I = 100.0
d 2.135, 2θ 42.3, I = 49.1
d 1.910, 2θ 47.6, I = 42.6
d 1.743, 2θ 52.5, I = 32.0
d 1.510, 2θ 61.4, I = 32.6
d 1.424, 2θ 65.6, I = 20.4
d 1.350, 2θ 69.6, I = 13.7



(6)
Starting from a DFT-relaxed cell (GGA-PBE, Alexandria), the X-ray diffraction stick pattern of Tb2Al17 was computed for copper Kα.

```
38
Lattice="9.452 0.000 0.000 -4.726 8.186 0.000 0.000 0.000 8.947" Properties=species:S:1:pos:R:3 pbc="T T T"
Tb 0.000 0.000 2.237
Tb 0.000 0.000 6.711
Tb 0.000 5.457 2.237
Tb 4.726 2.729 6.711
Al -2.363 4.093 0.000
Al -2.363 4.093 4.474
Al -1.368 2.991 6.711
Al -2.820 5.505 6.711
Al 0.000 2.697 0.208
Al 0.000 2.697 4.266
Al -2.390 6.837 0.208
Al -2.390 6.837 4.266
Al 1.368 2.991 6.711
Al -1.451 7.875 6.711
Al 2.336 1.349 4.682
Al 2.336 1.349 8.739
Al 0.000 5.457 5.387
Al 0.000 5.457 8.034
Al 3.275 0.311 2.237
Al 1.907 2.681 2.237
Al 4.726 0.000 0.000
Al 4.726 0.000 4.474
Al 2.363 4.093 0.000
Al 2.363 4.093 4.474
Al 2.820 5.505 6.711
Al 1.451 7.875 6.711
Al 4.726 2.729 0.913
Al 4.726 2.729 3.560
Al 2.390 6.837 0.208
Al 2.390 6.837 4.266
Al 6.178 0.311 2.237
Al 3.358 5.195 2.237
Al 7.117 1.349 4.682
Al 7.117 1.349 8.739
Al 4.726 5.489 4.682
Al 4.726 5.489 8.739
Al 7.546 2.681 2.237
Al 6.094 5.195 2.237
```

Top 10 peaks for 2θ = 5–70°, sorted by position:
d 6.040, 2θ 14.7, I = 33.5
d 4.726, 2θ 18.8, I = 48.4
d 3.249, 2θ 27.5, I = 84.2
d 2.924, 2θ 30.6, I = 23.9
d 2.729, 2θ 32.8, I = 53.4
d 2.410, 2θ 37.3, I = 30.9
d 2.363, 2θ 38.1, I = 57.3
d 2.330, 2θ 38.7, I = 100.0
d 2.237, 2θ 40.3, I = 23.1
d 1.659, 2θ 55.4, I = 28.3



(7)
Starting from a DFT-relaxed cell (GGA-PBE, Alexandria), the X-ray diffraction stick pattern of TbAl2Te4 was computed for copper Kα.

```
14
Lattice="8.226 0.000 0.000 0.000 8.226 0.000 0.000 0.000 6.919" Properties=species:S:1:pos:R:3 pbc="T T T"
Tb 0.000 0.000 0.000
Tb 4.113 4.113 3.460
Al 0.000 4.113 1.730
Al 0.000 4.113 5.190
Al 4.113 0.000 1.730
Al 4.113 0.000 5.190
Te 1.379 2.593 3.460
Te 1.519 5.492 0.000
Te 2.593 6.847 3.460
Te 2.734 1.519 0.000
Te 5.492 6.706 0.000
Te 5.632 1.379 3.460
Te 6.706 2.734 0.000
Te 6.847 5.632 3.460
```

Top 10 peaks for 2θ = 5–70°, sorted by position:
d 5.295, 2θ 16.7, I = 17.9
d 3.460, 2θ 25.8, I = 32.6
d 3.248, 2θ 27.5, I = 100.0
d 2.908, 2θ 30.7, I = 17.1
d 2.601, 2θ 34.5, I = 18.0
d 2.226, 2θ 40.5, I = 8.3
d 2.079, 2θ 43.5, I = 33.0
d 1.954, 2θ 46.5, I = 23.6
d 1.917, 2θ 47.4, I = 25.7
d 1.509, 2θ 61.4, I = 11.7



(8)
Starting from a DFT-relaxed cell (GGA-PBE, Alexandria), the X-ray diffraction stick pattern of Tb3ThAl8 was computed for copper Kα.

```
12
Lattice="5.582 0.000 0.000 -2.791 4.834 0.000 0.000 0.000 9.267" Properties=species:S:1:pos:R:3 pbc="T T T"
Tb 0.000 0.000 0.000
Tb 0.000 0.000 3.382
Tb 0.000 3.223 8.025
Th 0.000 3.223 4.640
Al -1.362 2.436 1.689
Al 1.365 0.788 6.359
Al 1.362 2.436 1.689
Al 0.000 4.796 1.689
Al 2.791 1.611 3.995
Al 2.791 1.611 8.685
Al 4.217 0.788 6.359
Al 2.791 3.258 6.359
```

Top 10 peaks for 2θ = 5–70°, sorted by position:
d 4.834, 2θ 18.4, I = 44.3
d 4.633, 2θ 19.2, I = 22.0
d 4.286, 2θ 20.7, I = 37.9
d 3.345, 2θ 26.6, I = 21.3
d 2.791, 2θ 32.1, I = 74.6
d 2.603, 2θ 34.5, I = 100.0
d 2.391, 2θ 37.6, I = 65.3
d 2.339, 2θ 38.5, I = 29.0
d 1.573, 2θ 58.7, I = 42.6
d 1.471, 2θ 63.2, I = 23.7



(9)
Starting from a DFT-relaxed cell (GGA-PBE, Alexandria), the X-ray diffraction stick pattern of Tb2Th2Al4Zn was computed for copper Kα.

```
9
Lattice="-3.484 3.484 4.513 3.484 -3.484 4.513 3.484 3.484 -4.513" Properties=species:S:1:pos:R:3 pbc="T T T"
Tb 0.000 0.000 1.750
Tb 0.000 0.000 7.276
Th 3.484 0.000 2.257
Th 0.000 3.484 2.257
Al 1.773 1.773 0.000
Al 1.711 -1.711 4.513
Al -1.711 1.711 4.513
Al 1.711 1.711 4.513
Zn 0.000 0.000 4.513
```

Top 10 peaks for 2θ = 5–70°, sorted by position:
d 4.513, 2θ 19.7, I = 32.8
d 3.484, 2θ 25.6, I = 73.9
d 3.328, 2θ 26.8, I = 19.3
d 2.759, 2θ 32.5, I = 100.0
d 2.464, 2θ 36.5, I = 50.3
d 2.163, 2θ 41.8, I = 38.7
d 1.742, 2θ 52.5, I = 17.8
d 1.664, 2θ 55.2, I = 15.9
d 1.626, 2θ 56.6, I = 16.6
d 1.473, 2θ 63.1, I = 30.2



(10)
Starting from a DFT-relaxed cell (GGA-PBE, Alexandria), the X-ray diffraction stick pattern of Tb3AlTl2 was computed for copper Kα.

```
6
Lattice="3.696 0.000 0.000 0.000 3.696 0.000 0.000 0.000 11.568" Properties=species:S:1:pos:R:3 pbc="T T T"
Tb 0.000 0.000 0.000
Tb 0.000 0.000 4.003
Tb 0.000 0.000 7.565
Al 1.848 1.848 5.784
Tl 1.848 1.848 1.984
Tl 1.848 1.848 9.584
```

Top 10 peaks for 2θ = 5–70°, sorted by position:
d 11.568, 2θ 7.6, I = 16.8
d 5.784, 2θ 15.3, I = 4.3
d 3.521, 2θ 25.3, I = 8.6
d 3.114, 2θ 28.7, I = 10.8
d 2.668, 2θ 33.6, I = 100.0
d 2.613, 2θ 34.3, I = 48.4
d 1.928, 2θ 47.1, I = 9.1
d 1.848, 2θ 49.3, I = 17.6
d 1.551, 2θ 59.6, I = 18.2
d 1.519, 2θ 61.0, I = 36.4



(11)
Starting from a DFT-relaxed cell (GGA-PBE, Alexandria), the X-ray diffraction stick pattern of Tb6AlTl was computed for copper Kα.

```
8
Lattice="4.825 0.000 0.000 0.000 4.825 0.000 0.000 0.000 9.649" Properties=species:S:1:pos:R:3 pbc="T T T"
Tb 0.000 0.000 0.000
Tb 0.000 0.000 4.824
Tb 0.000 2.412 2.329
Tb 0.000 2.412 7.320
Tb 2.412 0.000 2.329
Tb 2.412 0.000 7.320
Al 2.412 2.412 0.000
Tl 2.412 2.412 4.824
```

Top 10 peaks for 2θ = 5–70°, sorted by position:
d 9.649, 2θ 9.2, I = 5.7
d 4.315, 2θ 20.6, I = 6.4
d 3.216, 2θ 27.7, I = 6.5
d 2.785, 2θ 32.1, I = 100.0
d 2.412, 2θ 37.3, I = 50.3
d 2.106, 2θ 43.0, I = 2.0
d 1.706, 2θ 53.7, I = 35.0
d 1.680, 2θ 54.6, I = 2.3
d 1.455, 2θ 64.0, I = 41.1
d 1.393, 2θ 67.2, I = 11.8



(12)
Starting from a DFT-relaxed cell (GGA-PBE, Alexandria), the X-ray diffraction stick pattern of Tb6AlTl5 was computed for copper Kα.

```
12
Lattice="2.683 -8.053 0.000 2.683 8.053 0.000 0.000 0.000 7.486" Properties=species:S:1:pos:R:3 pbc="T T T"
Tb 0.000 0.000 1.825
Tb 0.000 0.000 5.662
Tb 2.683 2.628 1.848
Tb 2.683 2.628 5.638
Tb 2.683 -2.628 1.848
Tb 2.683 -2.628 5.638
Al 2.683 0.000 0.000
Tl 2.683 5.340 0.000
Tl 2.683 5.344 3.743
Tl 2.683 0.000 3.743
Tl 2.683 -5.340 0.000
Tl 2.683 -5.344 3.743
```

Top 10 peaks for 2θ = 5–70°, sorted by position:
d 8.053, 2θ 11.0, I = 2.2
d 5.483, 2θ 16.2, I = 2.0
d 4.209, 2θ 21.1, I = 2.6
d 3.388, 2θ 26.3, I = 2.9
d 2.684, 2θ 33.4, I = 50.9
d 2.665, 2θ 33.6, I = 100.0
d 1.898, 2θ 47.9, I = 18.6
d 1.872, 2θ 48.7, I = 8.9
d 1.546, 2θ 59.8, I = 38.5
d 1.535, 2θ 60.3, I = 18.9